This entry pairs a crystal structure of BC3 with its computed powder X-ray diffraction pattern. Radiation: a wavelength of 1.5418 Å. Structure: a structure optimized by DFT (GGA-PBE).

Largest 12 diffraction maxima, sorted by position, 2θ = 10–90°:
h k l, 2θ/deg, intensity
0 0 2, 13.64, 19
0 0 4, 27.48, 14
0 0 6, 41.74, 300
0 1 2, 42.98, 1000
1 0 3, 45.86, 18
0 0 7, 49.12, 11
0 1 8, 72.03, 245
1 1 0, 73.77, 254
0 1 9, 79.12, 17
1 0 10, 86.86, 90
1 1 6, 88.53, 134
2 0 2, 89.36, 83

Atomic structure:
Cell: 2.5688 2.5688 12.9841 Å, 90.00 90.00 120.00°
Space group P3m1 (No. 156)
Symmetry-distinct sites (fractional):
B 0.0000 0.0000 0.0000 x1
B 0.0000 0.0000 0.3915 x1
B 0.3333 0.6667 0.1723 x1
C 0.0000 0.0000 0.5165 x1
C 0.0000 0.0000 0.8731 x1
C 0.3333 0.6667 0.0510 x1
C 0.3333 0.6667 0.5543 x1
C 0.3333 0.6667 0.6764 x1
C 0.6667 0.3333 0.2280 x1
C 0.6667 0.3333 0.3379 x1
C 0.6667 0.3333 0.7137 x1
C 0.6667 0.3333 0.8366 x1

This entry pairs a crystal structure of LiLa2PdRh with its computed powder X-ray diffraction pattern. Radiation: a wavelength of 1.5418 Å. Structure: a structure optimized by DFT (GGA-PBE).

Largest 12 diffraction maxima, sorted by position, 2θ = 10–90°:
h k l, 2θ/deg, intensity
0 0 4, 25.66, 291
1 0 3, 28.86, 227
1 1 0, 30.39, 1000
0 0 5, 32.23, 204
1 1 4, 40.19, 374
2 0 0, 43.51, 387
1 1 5, 44.87, 411
2 0 4, 51.20, 172
2 0 5, 55.17, 176
2 2 0, 63.23, 126
3 1 0, 71.76, 165
3 1 5, 80.85, 126

Atomic structure:
Cell: 4.160 4.160 13.885 Å, 90.00 90.00 90.00°
Space group P4/nmm (No. 129, origin choice 2)
Symmetry-distinct sites (fractional):
Li 0.250 0.750 0.000 x2
La 0.250 0.250 0.195 x2
La 0.250 0.250 0.609 x2
Pd 0.250 0.250 0.861 x2
Rh 0.250 0.250 0.390 x2

This entry pairs a crystal structure of LiZn3Au3 with its computed powder X-ray diffraction pattern. Radiation: a wavelength of 1.5418 Å. Structure: a structure optimized by DFT (GGA-PBE).

Largest 12 diffraction maxima, sorted by position, 2θ = 10–90°:
h k l, 2θ/deg, intensity
1 1 0, 13.81, 309
0 2 0, 19.07, 165
2 2 0, 27.83, 382
0 0 2, 30.67, 130
1 1 2, 33.78, 158
0 4 0, 38.70, 266
4 0 0, 40.80, 286
2 2 2, 41.88, 1000
4 4 0, 57.49, 167
4 4 2, 66.56, 132
2 6 2, 72.22, 150
6 2 2, 75.01, 176

Atomic structure:
Cell: 8.848 9.307 5.830 Å, 90.00 90.00 90.00°
Space group Cmmm (No. 65)
Symmetry-distinct sites (fractional):
Li 0.219 0.000 0.000 x4
Zn 0.000 0.179 0.500 x4
Zn 0.000 0.255 0.000 x4
Zn 0.238 0.000 0.500 x4
Au 0.000 0.500 0.254 x4
Au 0.250 0.250 0.251 x8

This entry pairs a crystal structure of Mg6BePd12 with its computed powder X-ray diffraction pattern. Radiation: a wavelength of 1.5418 Å. Structure: a structure optimized by DFT (GGA-PBE).

Largest 12 diffraction maxima, sorted by position, 2θ = 10–90°:
h k l, 2θ/deg, intensity
2 1 1, 28.99, 584
3 0 0, 31.60, 370
1 2 2, 32.34, 248
1 0 4, 34.47, 707
2 2 0, 36.65, 331
1 3 1, 39.12, 1000
0 3 3, 40.34, 257
3 1 2, 41.75, 678
0 1 5, 42.69, 294
3 -1 4, 43.48, 478
2 2 3, 44.53, 450
2 5 3, 74.45, 321

Atomic structure:
Cell: 9.8081 9.8081 10.9343 Å, 90.00 90.00 120.00°
Space group R-3 (No. 148, hexagonal axes)
Symmetry-distinct sites (fractional):
Mg 0.0116 0.4154 0.2227 x18
Be 0.0000 0.0000 0.5000 x3
Pd 0.0397 0.1804 0.3416 x18
Pd 0.0488 0.8570 0.8974 x18

This entry pairs a crystal structure of Ho4Al5Si6 with its computed powder X-ray diffraction pattern. Radiation: a wavelength of 1.5418 Å. Structure: a structure optimized by DFT (GGA-PBE).

Largest 12 diffraction maxima, sorted by position, 2θ = 10–90°:
h k l, 2θ/deg, intensity
0 0 2, 11.82, 404
0 4 1, 19.74, 281
1 1 0, 21.89, 755
0 4 3, 25.99, 423
0 6 0, 28.35, 713
0 2 5, 31.36, 353
1 5 0, 32.03, 383
1 1 4, 32.56, 1000
1 3 4, 35.27, 252
1 5 3, 36.86, 923
1 1 5, 37.31, 303
2 0 0, 43.53, 417

Atomic structure:
Cell: 4.158 18.864 14.978 Å, 90.00 90.00 90.00°
Space group Cmc2_1 (No. 36)
Symmetry-distinct sites (fractional):
Ho 0.000 0.015 0.000 x4
Ho 0.000 0.039 0.268 x4
Ho 0.000 0.163 0.808 x4
Ho 0.000 0.181 0.446 x4
Al 0.000 0.152 0.128 x4
Al 0.000 0.306 0.118 x4
Al 0.000 0.339 0.781 x4
Al 0.000 0.356 0.475 x4
Al 0.000 0.445 0.181 x4
Si 0.000 0.110 0.619 x4
Si 0.000 0.216 0.988 x4
Si 0.000 0.232 0.261 x4
Si 0.000 0.427 0.630 x4
Si 0.000 0.427 0.909 x4
Si 0.000 0.448 0.353 x4

This entry pairs a crystal structure of Cs3Cu2Bi5S10 with its computed powder X-ray diffraction pattern. Radiation: a wavelength of 1.5418 Å. Structure: a structure optimized by DFT (GGA-PBE).

Largest 12 diffraction maxima, sorted by position, 2θ = 10–90°:
h k l, 2θ/deg, intensity
2 0 0, 11.62, 387
2 4 0, 22.50, 1000
4 0 0, 23.36, 674
1 2 1, 24.47, 334
1 3 1, 26.78, 911
3 1 1, 28.41, 326
3 2 1, 29.64, 943
2 6 0, 31.32, 370
3 3 1, 31.60, 563
1 6 1, 36.98, 327
5 3 1, 39.67, 352
0 0 2, 44.21, 340

Atomic structure:
Cell: 15.229 18.486 4.097 Å, 90.00 90.00 90.00°
Space group Pnnm (No. 58)
Symmetry-distinct sites (fractional):
Cs 0.000 0.000 0.000 x2
Cs 0.019 0.250 0.500 x4
Cu 0.231 0.751 0.000 x4
Bi 0.000 0.500 0.000 x2
Bi 0.211 0.593 0.500 x4
Bi 0.245 0.898 0.500 x4
S 0.095 0.631 0.000 x4
S 0.117 0.447 0.500 x4
S 0.140 0.851 0.000 x4
S 0.179 0.029 0.500 x4
S 0.207 0.222 0.000 x4

This entry pairs a crystal structure of Sm3C2Cl with its computed powder X-ray diffraction pattern. Radiation: a wavelength of 1.5418 Å. Structure: a structure optimized by DFT (GGA-PBE).

Largest 12 diffraction maxima, sorted by position, 2θ = 10–90°:
h k l, 2θ/deg, intensity
0 2 0, 12.89, 492
0 4 0, 25.96, 210
0 2 3, 28.47, 1000
1 1 2, 29.28, 828
1 3 1, 31.39, 893
0 4 3, 36.54, 231
1 5 0, 40.27, 203
1 5 2, 43.87, 332
2 0 0, 46.83, 208
1 3 5, 53.24, 363
2 2 3, 55.72, 307
1 7 3, 58.91, 253

Atomic structure:
Cell: 3.880 13.731 10.573 Å, 90.00 90.00 90.00°
Space group Cmcm (No. 63)
Symmetry-distinct sites (fractional):
Sm 0.000 0.067 0.250 x4
Sm 0.000 0.393 0.070 x8
C 0.000 0.000 0.000 x4
C 0.000 0.474 0.250 x4
Cl 0.000 0.258 0.750 x4

This entry pairs a crystal structure of La10Al5Br4 with its computed powder X-ray diffraction pattern. Radiation: a wavelength of 1.5418 Å. Structure: a structure optimized by DFT (GGA-PBE).

Largest 12 diffraction maxima, sorted by position, 2θ = 10–90°:
h k l, 2θ/deg, intensity
0 0 8, 21.37, 138
2 1 1, 24.27, 153
2 1 3, 25.44, 130
2 1 7, 30.67, 1000
1 1 10, 30.95, 150
3 1 0, 34.37, 459
2 0 10, 34.64, 170
0 0 14, 37.87, 110
4 1 7, 49.42, 210
3 1 14, 52.06, 110
3 3 10, 54.67, 89
5 2 7, 63.83, 133

Atomic structure:
Cell: 8.251 8.251 33.263 Å, 90.00 90.00 90.00°
Space group I4/mcm (No. 140)
Symmetry-distinct sites (fractional):
La 0.000 0.000 0.154 x8
La 0.169 0.331 0.204 x16
La 0.172 0.328 0.072 x16
Al 0.000 0.000 0.250 x4
Al 0.119 0.381 0.365 x16
Br 0.000 0.000 0.057 x8
Br 0.144 0.356 0.500 x8